Entry 1:
Na2Ta4O11: computed XRD peak list (CuKα), based on a cell relaxed with GGA-PBE.

Structure:
```
data_Na2Ta4O11
_chemical_formula_sum 'Na12 Ta24 O66'
_cell_length_a 6.2726
_cell_length_b 6.2726
_cell_length_c 37.0477
_cell_angle_alpha 90.00
_cell_angle_beta 90.00
_cell_angle_gamma 120.00
_symmetry_space_group_name_H-M 'R -3 c'
_symmetry_Int_Tables_number 167
_symmetry_space_group_name_Hall '-R 3 2"c'
loop_
_atom_site_label
_atom_site_fract_x
_atom_site_fract_y
_atom_site_fract_z
Na1 0.0000 0.0000 0.1655
Ta1 0.0000 0.0000 0.0000
Ta2 0.0000 0.3626 0.2500
O1 0.0000 0.0000 0.0939
O2 0.0000 0.2472 0.7500
O3 0.0315 0.2766 0.5308
```

Top 8 peaks for 10° ≤ 2θ ≤ 90°, in order of rising 2θ:
| (hkl) | 2theta | d/Å | Rel. int. |
| --- | --- | --- | --- |
| 0 0 6 | 14.34 | 6.175 | 55 |
| 0 1 2 | 17.01 | 5.213 | 50 |
| 0 0 12 | 28.92 | 3.087 | 50 |
| 1 1 3 | 29.38 | 3.040 | 100 |
| 1 1 6 | 32.01 | 2.796 | 82 |
| 1 1 9 | 36.00 | 2.495 | 35 |
| 3 0 0 | 50.40 | 1.811 | 34 |
| 0 3 12 | 59.15 | 1.562 | 35 |

---

Entry 2:
AcTh2Cu2Sn2: computed XRD peak list (CuKα), based on a cell relaxed with GGA-PBE.

Structure:
```
data_AcTh2Cu2Sn2
_chemical_formula_sum 'Ac3 Th6 Cu6 Sn6'
_cell_length_a 4.4505
_cell_length_b 4.4505
_cell_length_c 33.8580
_cell_angle_alpha 90.00
_cell_angle_beta 90.00
_cell_angle_gamma 120.00
_symmetry_space_group_name_H-M 'R -3 m'
_symmetry_Int_Tables_number 166
_symmetry_space_group_name_Hall '-R 3 2"'
loop_
_atom_site_label
_atom_site_fract_x
_atom_site_fract_y
_atom_site_fract_z
Ac1 0.0000 0.0000 0.0000
Th1 0.0000 0.0000 0.1287
Cu1 0.0000 0.0000 0.4133
Sn1 0.0000 0.0000 0.2658
```

Top 8 peaks for 10° ≤ 2θ ≤ 90°, in order of rising 2θ:
| (hkl) | 2theta | d/Å | Rel. int. |
| --- | --- | --- | --- |
| 1 0 1 | 23.23 | 3.830 | 37 |
| 1 0 7 | 29.64 | 3.014 | 100 |
| 0 1 8 | 31.39 | 2.850 | 73 |
| 1 1 0 | 40.54 | 2.225 | 67 |
| 0 2 7 | 51.01 | 1.790 | 23 |
| 2 0 8 | 52.15 | 1.754 | 18 |
| 1 1 15 | 58.22 | 1.585 | 36 |
| 2 1 7 | 67.10 | 1.395 | 20 |

---

Entry 3:
LaTh2GeN5: computed XRD peak list (CuKα), based on a cell relaxed with GGA-PBE.

Structure:
```
data_LaTh2GeN5
_chemical_formula_sum 'La2 Th4 Ge2 N10'
_cell_length_a 6.781
_cell_length_b 6.781
_cell_length_c 5.918
_cell_angle_alpha 90.00
_cell_angle_beta 90.00
_cell_angle_gamma 90.00
_symmetry_space_group_name_H-M 'P 4/m b m'
_symmetry_Int_Tables_number 127
_symmetry_space_group_name_Hall '-P 4 2ab'
loop_
_atom_site_label
_atom_site_fract_x
_atom_site_fract_y
_atom_site_fract_z
La1 0.000 0.000 0.000
Th1 0.178 0.322 0.500
Ge1 0.000 0.500 0.000
N1 0.000 0.000 0.500
N2 0.143 0.643 0.228
```

Top 8 peaks for 10° ≤ 2θ ≤ 90°, in order of rising 2θ:
| (hkl) | 2theta | d/Å | Rel. int. |
| --- | --- | --- | --- |
| 0 0 1 | 14.97 | 5.918 | 33 |
| 2 1 0 | 29.46 | 3.032 | 36 |
| 0 0 2 | 30.20 | 2.959 | 44 |
| 2 0 1 | 30.38 | 2.942 | 100 |
| 2 1 1 | 33.20 | 2.699 | 74 |
| 2 1 2 | 42.69 | 2.118 | 45 |
| 2 0 3 | 53.76 | 1.705 | 21 |
| 4 1 1 | 58.23 | 1.585 | 23 |

---

Entry 4:
Li16Mg7Ag6: computed XRD peak list (CuKα), based on a cell relaxed with GGA-PBE.

Structure:
```
data_Li16Mg7Ag6
_chemical_formula_sum 'Li32 Mg14 Ag12'
_cell_length_a 8.173
_cell_length_b 8.177
_cell_length_c 16.794
_cell_angle_alpha 90.00
_cell_angle_beta 90.00
_cell_angle_gamma 90.00
_symmetry_space_group_name_H-M 'I m m m'
_symmetry_Int_Tables_number 71
_symmetry_space_group_name_Hall '-I 2 2'
loop_
_atom_site_label
_atom_site_fract_x
_atom_site_fract_y
_atom_site_fract_z
Li1 0.000 0.235 0.116
Li2 0.000 0.250 0.375
Li3 0.231 0.000 0.115
Li4 0.249 0.000 0.376
Mg1 0.000 0.000 0.500
Mg2 0.000 0.500 0.000
Mg3 0.000 0.500 0.500
Mg4 0.250 0.250 0.250
Ag1 0.000 0.000 0.250
Ag2 0.248 0.247 0.500
```

Top 8 peaks for 10° ≤ 2θ ≤ 90°, in order of rising 2θ:
| (hkl) | 2theta | d/Å | Rel. int. |
| --- | --- | --- | --- |
| 1 1 2 | 18.64 | 4.761 | 44 |
| 0 0 4 | 21.16 | 4.199 | 77 |
| 2 0 2 | 24.22 | 3.675 | 90 |
| 2 2 0 | 30.94 | 2.890 | 60 |
| 2 2 4 | 37.79 | 2.381 | 100 |
| 0 2 6 | 39.00 | 2.309 | 26 |
| 4 0 0 | 44.32 | 2.044 | 31 |
| 4 0 4 | 49.61 | 1.838 | 30 |

---

Entry 5:
HgTeBr2: computed XRD peak list (CuKα), based on a cell relaxed with GGA-PBE.

Structure:
```
data_HgTeBr2
_chemical_formula_sum 'Hg2 Te2 Br4'
_cell_length_a 3.952
_cell_length_b 7.864
_cell_length_c 10.450
_cell_angle_alpha 90.00
_cell_angle_beta 90.00
_cell_angle_gamma 90.00
_symmetry_space_group_name_H-M 'C m m m'
_symmetry_Int_Tables_number 65
_symmetry_space_group_name_Hall '-C 2 2'
loop_
_atom_site_label
_atom_site_fract_x
_atom_site_fract_y
_atom_site_fract_z
Hg1 0.000 0.000 0.000
Te1 0.000 0.000 0.500
Br1 0.000 0.500 0.310
```

Top 8 peaks for 10° ≤ 2θ ≤ 90°, in order of rising 2θ:
| (hkl) | 2theta | d/Å | Rel. int. |
| --- | --- | --- | --- |
| 0 0 2 | 16.97 | 5.225 | 21 |
| 0 2 0 | 22.61 | 3.932 | 65 |
| 1 1 1 | 26.65 | 3.345 | 13 |
| 1 1 2 | 30.56 | 2.926 | 100 |
| 0 0 4 | 34.36 | 2.610 | 20 |
| 1 1 4 | 43.07 | 2.100 | 20 |
| 1 3 2 | 44.98 | 2.015 | 35 |
| 2 2 0 | 51.78 | 1.765 | 14 |

---

Entry 6:
LaHo3Ag4: computed XRD peak list (CuKα), based on a cell relaxed with GGA-PBE.

Structure:
```
data_LaHo3Ag4
_chemical_formula_sum 'La2 Ho6 Ag8'
_cell_length_a 10.379
_cell_length_b 7.365
_cell_length_c 5.190
_cell_angle_alpha 90.00
_cell_angle_beta 90.00
_cell_angle_gamma 90.00
_symmetry_space_group_name_H-M 'P m m a'
_symmetry_Int_Tables_number 51
loop_
_symmetry_equiv_pos_as_xyz
'x,y,z'
'-x,-y,-z'
'-x+1/2,-y,z'
'x+1/2,y,-z'
'x+1/2,-y,-z'
'-x+1/2,y,z'
'-x,y,-z'
'x,-y,z'
loop_
_atom_site_label
_atom_site_fract_x
_atom_site_fract_y
_atom_site_fract_z
La1 0.000 0.000 0.000
Ho1 0.000 0.500 0.000
Ho2 0.250 0.000 0.499
Ho3 0.250 0.500 0.499
Ag1 0.000 0.266 0.500
Ag2 0.250 0.266 0.998
```

Top 8 peaks for 10° ≤ 2θ ≤ 90°, in order of rising 2θ:
| (hkl) | 2theta | d/Å | Rel. int. |
| --- | --- | --- | --- |
| 4 0 0 | 34.53 | 2.598 | 100 |
| 0 4 0 | 49.51 | 1.841 | 6 |
| 4 0 2 | 49.69 | 1.835 | 12 |
| 4 4 0 | 61.78 | 1.502 | 11 |
| 6 2 1 | 61.90 | 1.499 | 24 |
| 4 4 2 | 72.76 | 1.300 | 7 |
| 2 6 1 | 82.95 | 1.164 | 5 |
| 8 0 2 | 83.24 | 1.161 | 10 |

---

Entry 7:
Ti2H3: computed XRD peak list (CuKα), based on a cell relaxed with GGA-PBE.

Structure:
```
data_Ti2H3
_chemical_formula_sum 'Ti4 H6'
_cell_length_a 4.336
_cell_length_b 4.336
_cell_length_c 4.384
_cell_angle_alpha 90.00
_cell_angle_beta 90.00
_cell_angle_gamma 90.00
_symmetry_space_group_name_H-M 'P 42/m c m'
_symmetry_Int_Tables_number 132
_symmetry_space_group_name_Hall '-P 4c 2c'
loop_
_atom_site_label
_atom_site_fract_x
_atom_site_fract_y
_atom_site_fract_z
Ti1 0.238 0.238 0.000
H1 0.000 0.500 0.250
H2 0.500 0.500 0.250
```

Top 8 peaks for 10° ≤ 2θ ≤ 90°, in order of rising 2θ:
| (hkl) | 2theta | d/Å | Rel. int. |
| --- | --- | --- | --- |
| 1 1 1 | 35.74 | 2.513 | 100 |
| 0 0 2 | 41.18 | 2.192 | 15 |
| 2 0 0 | 41.66 | 2.168 | 29 |
| 2 0 2 | 60.02 | 1.541 | 20 |
| 2 2 0 | 60.38 | 1.533 | 10 |
| 1 1 3 | 71.52 | 1.319 | 11 |
| 3 1 1 | 72.19 | 1.309 | 20 |
| 2 2 2 | 75.71 | 1.256 | 8 |

---

Entry 8:
Ac2Nd3Er4: computed XRD peak list (CuKα), based on a cell relaxed with GGA-PBE.

Structure:
```
data_Ac2Nd3Er4
_chemical_formula_sum 'Ac2 Nd3 Er4'
_cell_length_a 3.6967
_cell_length_b 3.6967
_cell_length_c 27.1013
_cell_angle_alpha 90.00
_cell_angle_beta 90.00
_cell_angle_gamma 120.00
_symmetry_space_group_name_H-M 'P 3 m 1'
_symmetry_Int_Tables_number 156
loop_
_symmetry_equiv_pos_as_xyz
'x,y,z'
'-y,x-y,z'
'-x+y,-x,z'
'-y,-x,z'
'-x+y,y,z'
'x,x-y,z'
loop_
_atom_site_label
_atom_site_fract_x
_atom_site_fract_y
_atom_site_fract_z
Ac1 0.0000 0.0000 0.0000
Ac2 0.0000 0.0000 0.2350
Nd1 0.0000 0.0000 0.7827
Nd2 0.3333 0.6667 0.1204
Nd3 0.3333 0.6667 0.4695
Er1 0.0000 0.0000 0.3655
Er2 0.0000 0.0000 0.5766
Er3 0.3333 0.6667 0.6766
Er4 0.3333 0.6667 0.8886
```

Top 8 peaks for 10° ≤ 2θ ≤ 90°, in order of rising 2θ:
| (hkl) | 2theta | d/Å | Rel. int. |
| --- | --- | --- | --- |
| 1 0 0 | 27.87 | 3.201 | 47 |
| 0 0 9 | 29.65 | 3.013 | 49 |
| 1 0 4 | 30.89 | 2.895 | 47 |
| 0 1 5 | 32.48 | 2.757 | 100 |
| 1 0 9 | 41.15 | 2.193 | 23 |
| 1 1 0 | 49.31 | 1.848 | 40 |
| 0 1 14 | 55.47 | 1.657 | 23 |
| 1 1 9 | 58.60 | 1.575 | 32 |

---

Entry 9:
Nd3In3Ni2: computed XRD peak list (CuKα), based on a cell relaxed with GGA-PBE.

Structure:
```
data_Nd3In3Ni2
_chemical_formula_sum 'Nd6 In6 Ni4'
_cell_length_a 17.225
_cell_length_b 4.437
_cell_length_c 5.173
_cell_angle_alpha 90.00
_cell_angle_beta 100.63
_cell_angle_gamma 90.00
_symmetry_space_group_name_H-M 'C 1 2/m 1'
_symmetry_Int_Tables_number 12
loop_
_symmetry_equiv_pos_as_xyz
'x,y,z'
'-x,-y,-z'
'-x,y,-z'
'x,-y,z'
'x+1/2,y+1/2,z'
'-x+1/2,-y+1/2,-z'
'-x+1/2,y+1/2,-z'
'x+1/2,-y+1/2,z'
loop_
_atom_site_label
_atom_site_fract_x
_atom_site_fract_y
_atom_site_fract_z
Nd1 0.000 0.000 0.000
Nd2 0.164 0.000 0.594
In1 0.000 0.500 0.500
In2 0.141 0.500 0.085
Ni1 0.227 0.000 0.118
```

Top 8 peaks for 10° ≤ 2θ ≤ 90°, in order of rising 2θ:
| (hkl) | 2theta | d/Å | Rel. int. |
| --- | --- | --- | --- |
| 3 1 -1 | 29.36 | 3.042 | 53 |
| 6 0 0 | 31.71 | 2.822 | 32 |
| 3 1 1 | 32.75 | 2.734 | 100 |
| 2 0 -2 | 34.93 | 2.569 | 29 |
| 5 1 -1 | 35.35 | 2.539 | 65 |
| 0 2 0 | 40.67 | 2.218 | 38 |
| 9 1 1 | 59.21 | 1.560 | 17 |
| 5 1 -3 | 60.10 | 1.540 | 17 |

---

Entry 10:
ScAg2AsS4: computed XRD peak list (CuKα), based on a cell relaxed with GGA-PBE.

Structure:
```
data_ScAg2AsS4
_chemical_formula_sum 'Sc1 Ag2 As1 S4'
_cell_length_a 5.617
_cell_length_b 5.768
_cell_length_c 6.796
_cell_angle_alpha 69.90
_cell_angle_beta 70.57
_cell_angle_gamma 87.82
_symmetry_space_group_name_H-M 'P 1'
_symmetry_Int_Tables_number 1
loop_
_symmetry_equiv_pos_as_xyz
'x,y,z'
loop_
_atom_site_label
_atom_site_fract_x
_atom_site_fract_y
_atom_site_fract_z
Sc1 0.000 0.000 0.000
Ag1 0.486 0.552 0.996
Ag2 0.766 0.248 0.508
As1 0.252 0.777 0.469
S1 0.170 0.154 0.235
S2 0.377 0.915 0.707
S3 0.641 0.675 0.266
S4 0.858 0.359 0.804
```

Top 8 peaks for 10° ≤ 2θ ≤ 90°, in order of rising 2θ:
| (hkl) | 2theta | d/Å | Rel. int. |
| --- | --- | --- | --- |
| 1 1 0 | 24.59 | 3.620 | 65 |
| -1 1 1 | 27.04 | 3.298 | 100 |
| 1 1 2 | 28.36 | 3.147 | 53 |
| 0 2 -1 | 41.22 | 2.190 | 24 |
| 2 0 -1 | 41.83 | 2.160 | 25 |
| 2 2 2 | 44.72 | 2.027 | 20 |
| 0 2 3 | 46.01 | 1.973 | 34 |
| 2 0 3 | 46.72 | 1.944 | 16 |

---

Entry 11:
CeEu2Ni: computed XRD peak list (CuKα), based on a cell relaxed with GGA-PBE.

Structure:
```
data_CeEu2Ni
_chemical_formula_sum 'Ce3 Eu6 Ni3'
_cell_length_a 3.6669
_cell_length_b 3.6669
_cell_length_c 31.7337
_cell_angle_alpha 90.00
_cell_angle_beta 90.00
_cell_angle_gamma 120.00
_symmetry_space_group_name_H-M 'R -3 m'
_symmetry_Int_Tables_number 166
_symmetry_space_group_name_Hall '-R 3 2"'
loop_
_atom_site_label
_atom_site_fract_x
_atom_site_fract_y
_atom_site_fract_z
Ce1 0.0000 0.0000 0.0000
Eu1 0.0000 0.0000 0.1092
Ni1 0.0000 0.0000 0.5000
```

Top 8 peaks for 10° ≤ 2θ ≤ 90°, in order of rising 2θ:
| (hkl) | 2theta | d/Å | Rel. int. |
| --- | --- | --- | --- |
| 0 0 9 | 25.26 | 3.526 | 65 |
| 1 0 1 | 28.24 | 3.160 | 100 |
| 0 1 2 | 28.67 | 3.114 | 71 |
| 0 1 5 | 31.50 | 2.840 | 38 |
| 0 1 8 | 36.24 | 2.479 | 95 |
| 1 0 10 | 40.17 | 2.245 | 86 |
| 1 1 0 | 49.73 | 1.833 | 57 |
| 1 1 9 | 56.58 | 1.627 | 43 |

---

Entry 12:
Rb3Ni2HgCl9: computed XRD peak list (CuKα), based on a cell relaxed with GGA-PBE.

Structure:
```
data_Rb3Ni2HgCl9
_chemical_formula_sum 'Rb3 Ni2 Hg1 Cl9'
_cell_length_a 7.0709
_cell_length_b 7.0709
_cell_length_c 8.7286
_cell_angle_alpha 90.00
_cell_angle_beta 90.00
_cell_angle_gamma 120.00
_symmetry_space_group_name_H-M 'P -3 m 1'
_symmetry_Int_Tables_number 164
_symmetry_space_group_name_Hall '-P 3 2"'
loop_
_atom_site_label
_atom_site_fract_x
_atom_site_fract_y
_atom_site_fract_z
Rb1 0.0000 0.0000 0.0000
Rb2 0.3333 0.6667 0.6720
Ni1 0.3333 0.6667 0.1566
Hg1 0.0000 0.0000 0.5000
Cl1 0.0000 0.5000 0.0000
Cl2 0.1775 0.3551 0.3141
```

Top 8 peaks for 10° ≤ 2θ ≤ 90°, in order of rising 2θ:
| (hkl) | 2theta | d/Å | Rel. int. |
| --- | --- | --- | --- |
| 1 0 1 | 17.69 | 5.013 | 33 |
| 0 1 2 | 25.06 | 3.554 | 76 |
| 1 1 0 | 25.19 | 3.535 | 69 |
| 2 0 2 | 35.83 | 2.506 | 100 |
| 3 0 0 | 44.33 | 2.044 | 47 |
| 0 2 4 | 51.42 | 1.777 | 31 |
| 2 2 0 | 51.71 | 1.768 | 31 |
| 2 3 2 | 70.44 | 1.337 | 18 |